This entry pairs a crystal structure of Li5MgAg3 with its simulated X-ray diffraction stick pattern. Radiation: Cu Kα (λ = 1.5418 Å). Structure: a cell relaxed with PBE.
Neutral-atom scattering factors, no anomalous dispersion.

Principal peaks in the range 10° ≤ 2θ ≤ 90°, in order of rising 2θ:
2θ (°)  I (rel.)
22.2  21
27.3  100
31.8  15
39.0  37
39.1  22
48.3  20
51.1  22
53.9  14
63.7  17
70.7  13

Cell and atoms:
abc: 8.0028 8.0028 5.6350
angles: 90.00 90.00 120.00
Atoms (fractional coordinates):
1 Li 0.0000 0.3384 0.2500
2 Li 0.0000 0.6616 0.7500
3 Li 0.3333 0.6667 0.0000
4 Li 0.3333 0.6667 0.5000
5 Li 0.3384 0.0000 0.2500
6 Li 0.3384 0.3384 0.7500
7 Li 0.6616 0.0000 0.7500
8 Li 0.6616 0.6616 0.2500
9 Li 0.6667 0.3333 0.0000
10 Li 0.6667 0.3333 0.5000
11 Mg 0.0000 0.0000 0.0000
12 Mg 0.0000 0.0000 0.5000
13 Ag 0.0000 0.3297 0.7500
14 Ag 0.0000 0.6703 0.2500
15 Ag 0.3297 0.0000 0.7500
16 Ag 0.3297 0.3297 0.2500
17 Ag 0.6703 0.0000 0.2500
18 Ag 0.6703 0.6703 0.7500


This entry pairs a crystal structure of Li3Mg6Ag with its simulated X-ray diffraction stick pattern. Radiation: Cu Kα (λ = 1.5418 Å). Structure: a cell relaxed with PBE.
Neutral-atom scattering factors, no anomalous dispersion.

Principal peaks in the range 10° ≤ 2θ ≤ 90°, in order of rising 2θ:
2θ (°)  I (rel.)
10.8  72
15.7  33
22.2  19
25.9  22
28.4  18
36.9  100
37.2  21
37.7  23
52.4  11
54.0  14

Cell and atoms:
abc: 8.4760 4.7768 10.2827
angles: 90.00 104.69 90.00
Atoms (fractional coordinates):
1 Li 0.0509 0.2500 0.4011
2 Li 0.1533 0.7500 0.2014
3 Li 0.2527 0.2500 0.9965
4 Li 0.7473 0.7500 0.0035
5 Li 0.8467 0.2500 0.7986
6 Li 0.9491 0.7500 0.5989
7 Mg 0.0392 0.7500 0.8999
8 Mg 0.1355 0.2500 0.6920
9 Mg 0.2638 0.7500 0.4937
10 Mg 0.3473 0.7500 0.7975
11 Mg 0.3543 0.2500 0.3137
12 Mg 0.4402 0.7500 0.1005
13 Mg 0.5598 0.2500 0.8995
14 Mg 0.6457 0.7500 0.6863
15 Mg 0.6527 0.2500 0.2025
16 Mg 0.7362 0.2500 0.5063
17 Mg 0.8645 0.7500 0.3080
18 Mg 0.9608 0.2500 0.1001
19 Ag 0.4405 0.2500 0.6155
20 Ag 0.5595 0.7500 0.3845


This entry pairs a crystal structure of Li12MgAg6 with its simulated X-ray diffraction stick pattern. Radiation: Cu Kα (λ = 1.5418 Å). Structure: a cell relaxed with PBE.
Neutral-atom scattering factors, no anomalous dispersion.

Principal peaks in the range 10° ≤ 2θ ≤ 90°, in order of rising 2θ:
2θ (°)  I (rel.)
12.6  35
17.8  43
18.0  60
21.8  62
25.4  69
28.4  65
28.6  42
38.7  100
40.6  34
40.8  54

Cell and atoms:
abc: 7.0084 7.0084 7.0084
angles: 89.52 89.52 89.52
Atoms (fractional coordinates):
1 Li 0.0233 0.3067 0.9234
2 Li 0.0766 0.9767 0.6933
3 Li 0.1134 0.3436 0.4680
4 Li 0.3067 0.9234 0.0233
5 Li 0.3436 0.4680 0.1134
6 Li 0.4680 0.1134 0.3436
7 Li 0.5320 0.8866 0.6564
8 Li 0.6564 0.5320 0.8866
9 Li 0.6933 0.0766 0.9767
10 Li 0.8866 0.6564 0.5320
11 Li 0.9234 0.0233 0.3067
12 Li 0.9767 0.6933 0.0766
13 Mg 0.5000 0.5000 0.5000
14 Ag 0.2240 0.6201 0.7682
15 Ag 0.2318 0.7760 0.3799
16 Ag 0.3799 0.2318 0.7760
17 Ag 0.6201 0.7682 0.2240
18 Ag 0.7682 0.2240 0.6201
19 Ag 0.7760 0.3799 0.2318


This entry pairs a crystal structure of LiMg3Ag2 with its simulated X-ray diffraction stick pattern. Radiation: Cu Kα (λ = 1.5418 Å). Structure: a cell relaxed with PBE.
Neutral-atom scattering factors, no anomalous dispersion.

Principal peaks in the range 10° ≤ 2θ ≤ 90°, in order of rising 2θ:
2θ (°)  I (rel.)
12.9  37
20.4  32
25.2  18
27.5  29
32.6  19
37.6  100
39.2  44
56.7  14
66.7  17
70.0  29

Cell and atoms:
abc: 4.5947 13.7724 3.5399
angles: 90.00 90.00 90.00
Atoms (fractional coordinates):
1 Li 0.0000 0.0000 0.0000
2 Li 0.5000 0.5000 0.0000
3 Mg 0.0000 0.1690 0.5000
4 Mg 0.0000 0.5000 0.5000
5 Mg 0.0000 0.8310 0.5000
6 Mg 0.5000 0.0000 0.5000
7 Mg 0.5000 0.3310 0.5000
8 Mg 0.5000 0.6690 0.5000
9 Ag 0.0000 0.3359 0.0000
10 Ag 0.0000 0.6641 0.0000
11 Ag 0.5000 0.1641 0.0000
12 Ag 0.5000 0.8359 0.0000


This entry pairs a crystal structure of Li10Mg4Ag with its simulated X-ray diffraction stick pattern. Radiation: Cu Kα (λ = 1.5418 Å). Structure: a cell relaxed with PBE.
Neutral-atom scattering factors, no anomalous dispersion.

Principal peaks in the range 10° ≤ 2θ ≤ 90°, in order of rising 2θ:
2θ (°)  I (rel.)
13.2  66
15.7  33
16.1  54
17.0  100
18.4  38
25.2  36
27.9  45
29.1  30
31.6  35
36.1  74

Cell and atoms:
abc: 7.2534 7.2534 6.5533
angles: 110.45 110.45 92.12
Atoms (fractional coordinates):
1 Li 0.0980 0.5954 0.2827
2 Li 0.1456 0.8544 0.0000
3 Li 0.2707 0.5450 0.7441
4 Li 0.4046 0.9020 0.7173
5 Li 0.4550 0.7293 0.2559
6 Li 0.5450 0.2707 0.7441
7 Li 0.5954 0.0980 0.2827
8 Li 0.7293 0.4550 0.2559
9 Li 0.8544 0.1456 0.0000
10 Li 0.9020 0.4046 0.7173
11 Mg 0.1233 0.1233 0.4211
12 Mg 0.2613 0.2613 0.0035
13 Mg 0.7387 0.7387 0.9965
14 Mg 0.8767 0.8767 0.5789
15 Ag 0.5000 0.5000 0.5000


This entry pairs a crystal structure of Li6MgAg3 with its simulated X-ray diffraction stick pattern. Radiation: Cu Kα (λ = 1.5418 Å). Structure: a cell relaxed with PBE.
Neutral-atom scattering factors, no anomalous dispersion.

Principal peaks in the range 10° ≤ 2θ ≤ 90°, in order of rising 2θ:
2θ (°)  I (rel.)
12.7  91
15.9  23
20.4  100
26.7  28
32.1  68
38.8  22
40.5  34
41.8  40
42.2  39
44.7  32

Cell and atoms:
abc: 7.2537 7.2537 7.2537
angles: 100.46 100.46 100.46
Atoms (fractional coordinates):
1 Li 0.0000 0.2750 0.7250
2 Li 0.0000 0.7250 0.2750
3 Li 0.1643 0.1643 0.4244
4 Li 0.1643 0.4244 0.1643
5 Li 0.2750 0.0000 0.7250
6 Li 0.2750 0.7250 0.0000
7 Li 0.4244 0.1643 0.1643
8 Li 0.5756 0.8357 0.8357
9 Li 0.7250 0.0000 0.2750
10 Li 0.7250 0.2750 0.0000
11 Li 0.8357 0.5756 0.8357
12 Li 0.8357 0.8357 0.5756
13 Mg 0.0000 0.0000 0.0000
14 Mg 0.5000 0.5000 0.5000
15 Ag 0.1729 0.6134 0.6134
16 Ag 0.3866 0.3866 0.8271
17 Ag 0.3866 0.8271 0.3866
18 Ag 0.6134 0.1729 0.6134
19 Ag 0.6134 0.6134 0.1729
20 Ag 0.8271 0.3866 0.3866


This entry pairs a crystal structure of Li7Mg3Ag4 with its simulated X-ray diffraction stick pattern. Radiation: Cu Kα (λ = 1.5418 Å). Structure: a cell relaxed with PBE.
Neutral-atom scattering factors, no anomalous dispersion.

Principal peaks in the range 10° ≤ 2θ ≤ 90°, in order of rising 2θ:
2θ (°)  I (rel.)
19.1  100
19.9  61
24.0  42
24.4  47
29.6  25
32.0  41
36.9  34
37.8  25
38.9  40
39.3  29

Cell and atoms:
abc: 9.3056 9.3056 11.6396
angles: 126.59 126.59 19.32
Atoms (fractional coordinates):
1 Li 0.0000 0.0000 0.0000
2 Li 0.1719 0.1719 0.9434
3 Li 0.3225 0.3225 0.4731
4 Li 0.4925 0.4925 0.2468
5 Li 0.5075 0.5075 0.7532
6 Li 0.6775 0.6775 0.5269
7 Li 0.8281 0.8281 0.0566
8 Mg 0.0000 0.0000 0.5000
9 Mg 0.3053 0.3053 0.8249
10 Mg 0.6947 0.6947 0.1751
11 Ag 0.1303 0.1303 0.2965
12 Ag 0.3508 0.3508 0.2671
13 Ag 0.6492 0.6492 0.7329
14 Ag 0.8697 0.8697 0.7035


This entry pairs a crystal structure of LiMg5Ag8 with its simulated X-ray diffraction stick pattern. Radiation: Cu Kα (λ = 1.5418 Å). Structure: a cell relaxed with PBE.
Neutral-atom scattering factors, no anomalous dispersion.

Principal peaks in the range 10° ≤ 2θ ≤ 90°, in order of rising 2θ:
2θ (°)  I (rel.)
26.9  35
27.0  92
34.9  44
35.1  86
41.6  60
41.8  100
55.7  26
57.9  16
58.2  22
72.0  21

Cell and atoms:
abc: 7.0140 7.0140 7.0140
angles: 109.71 109.71 109.00
Atoms (fractional coordinates):
1 Li 0.0000 0.0000 0.0000
2 Mg 0.2895 0.6321 0.0975
3 Mg 0.3679 0.4654 0.6574
4 Mg 0.5346 0.1920 0.9025
5 Mg 0.7500 0.2500 0.5000
6 Mg 0.8080 0.7105 0.3426
7 Ag 0.0084 0.4120 0.2603
8 Ag 0.0862 0.1544 0.7404
9 Ag 0.1517 0.7481 0.7397
10 Ag 0.2519 0.9916 0.4036
11 Ag 0.4140 0.3458 0.2596
12 Ag 0.5880 0.8483 0.5964
13 Ag 0.6542 0.9138 0.0682
14 Ag 0.8456 0.5860 0.9318